1.
The following is a calculated X-ray diffraction stick pattern of Li4V11O22. It was derived from a structure optimized by DFT (GGA+U), using Cu Kα (weighted mean of Kα1 and Kα2).

```
37
Lattice="5.1237 0.0000 0.0000 -0.8307 8.9791 0.0000 -0.7975 -4.2581 9.1878" Properties=species:S:1:pos:R:3 pbc="T T T"
Li 0.0000 0.0000 0.0000
Li 0.0305 2.5967 1.7365
Li 0.2339 5.1857 3.4514
Li 3.4148 -0.1441 5.9811
V -0.7983 2.4541 4.7075
V -0.8010 5.0314 6.2854
V 0.0954 -1.5363 7.9955
V 0.8749 5.3617 0.3056
V 0.9295 7.7575 2.1374
V 1.7912 1.3176 3.8085
V 1.7560 3.6731 5.5750
V 2.6140 -2.7989 7.1713
V 2.6257 -0.3463 8.9066
V 3.4168 6.4062 1.3992
V 4.3358 -0.1309 3.0518
O -0.8470 0.2835 7.9671
O -0.7896 7.0723 3.0354
O -0.0081 7.0950 0.4810
O 0.1121 0.6450 4.6272
O 0.7841 0.5984 2.1339
O 0.1489 3.1810 6.3270
O 0.8663 -3.3090 8.0175
O 0.9400 3.0989 3.7792
O 1.5763 3.4287 0.4428
O 0.9634 5.5187 5.4837
O 1.6925 5.9124 2.1362
O 1.8415 -1.0481 7.1453
O 1.7371 1.5070 8.8807
O 2.6990 -0.5082 3.8662
O 2.5472 1.8331 5.5162
O 2.7642 8.2000 1.2985
O 2.6048 4.4780 7.2644
O 3.4297 1.7695 2.9683
O 3.4197 4.2488 4.6961
O 3.5393 -2.1525 8.9261
O 4.2896 -2.0503 6.3948
O 4.3993 4.7338 1.4016
```

The 12 most intense peaks (10° ≤ 2θ ≤ 80°), in order of rising 2θ:
2θ/deg	I_rel
17.73	100
35.03	10
35.31	10
35.58	10
42.15	19
42.61	18
42.84	17
55.33	5
56.07	5
61.87	5
62.41	5
62.78	5

=====

2.
The following is a calculated X-ray diffraction stick pattern of Li3V6O13. It was derived from a structure optimized by DFT (GGA+U), using Cu Kα (weighted mean of Kα1 and Kα2).

```
22
Lattice="6.0105 -2.0123 0.0000 6.0105 2.0123 0.0000 -1.9079 0.0000 10.1335" Properties=species:S:1:pos:R:3 pbc="T T T"
Li 0.0000 0.0000 0.0000
Li 0.0390 0.0000 4.1780
Li 10.0592 0.0000 5.9446
V 2.1505 0.0000 6.4438
V 4.0544 0.0000 0.0156
V 4.1297 0.0000 3.7034
V 5.9723 0.0000 6.4133
V 5.9891 0.0000 10.1029
V 7.9522 0.0000 3.6850
O 0.1675 0.0000 6.1639
O 0.1647 0.0000 10.1276
O 2.1199 0.0000 4.0847
O 2.3001 0.0000 8.1237
O 4.2126 0.0000 2.0015
O 4.0606 0.0000 5.8887
O 4.1599 0.0000 10.1248
O 6.0392 0.0000 4.2373
O 5.9186 0.0000 8.1105
O 7.8228 0.0000 2.0098
O 7.9831 0.0000 6.0377
O 7.9075 0.0000 10.1251
O 9.9358 0.0000 3.9578
```

The 12 most intense peaks (10° ≤ 2θ ≤ 80°), in order of rising 2θ:
2θ/deg	I_rel
15.00	61
17.50	43
23.35	100
26.39	88
29.91	24
31.82	66
44.71	37
45.05	60
45.26	53
52.95	33
60.02	20
65.77	30

=====

3.
The following is a calculated X-ray diffraction stick pattern of Li3V6O13. It was derived from a structure optimized by DFT (GGA+U), using Cu Kα (weighted mean of Kα1 and Kα2).

```
22
Lattice="5.9096 -1.9705 0.0000 5.9096 1.9705 0.0000 -1.9044 0.0000 10.0724" Properties=species:S:1:pos:R:3 pbc="T T T"
Li 0.0000 0.0000 0.0000
Li 0.0297 0.0000 4.1233
Li 9.8852 0.0000 5.9491
V 2.0966 0.0000 6.4427
V 4.0521 0.0000 0.0236
V 4.0487 0.0000 3.6457
V 5.8662 0.0000 6.4267
V 5.8628 0.0000 10.0487
V 7.8183 0.0000 3.6297
O 0.1272 0.0000 6.1267
O 2.0533 0.0000 0.0006
O 2.0721 0.0000 4.0381
O 2.1970 0.0000 8.1079
O 4.1019 0.0000 1.9612
O 3.9860 0.0000 5.9524
O 5.9096 0.0000 0.0000
O 5.9290 0.0000 4.1200
O 5.8130 0.0000 8.1112
O 7.7179 0.0000 1.9645
O 7.8429 0.0000 6.0343
O 7.8616 0.0000 10.0718
O 9.7878 0.0000 3.9456
```

The 12 most intense peaks (10° ≤ 2θ ≤ 80°), in order of rising 2θ:
2θ/deg	I_rel
15.26	52
17.61	32
23.84	88
26.55	89
30.42	24
32.44	59
34.84	16
45.00	31
46.07	100
53.96	24
60.63	18
67.20	25

=====

4.
The following is a calculated X-ray diffraction stick pattern of LiV3O4. It was derived from a structure optimized by DFT (GGA+U), using Cu Kα (weighted mean of Kα1 and Kα2).

```
16
Lattice="5.2961 0.0000 0.0000 0.0000 6.0363 0.0000 -1.8610 0.0000 4.9626" Properties=species:S:1:pos:R:3 pbc="T T T"
Li 0.0000 0.0000 0.0000
Li 1.7176 2.9534 2.4813
V -0.9305 1.4767 2.4813
V 0.0000 3.0175 0.0000
V -0.9305 4.4815 2.4813
V 2.6481 1.4767 0.0000
V 2.6481 4.4894 0.0000
V 1.7176 5.9921 2.4813
O -0.1053 3.0287 3.6915
O -0.0588 5.9555 3.6573
O 0.8577 4.5472 1.2999
O 0.9009 1.4229 1.2749
O 2.5343 1.4229 3.6877
O 2.5775 4.5472 3.6626
O 3.4939 5.9555 1.3053
O 3.5404 3.0287 1.2711
```

The 12 most intense peaks (10° ≤ 2θ ≤ 80°), in order of rising 2θ:
2θ/deg	I_rel
20.39	16
23.21	48
29.60	12
36.21	54
37.47	11
41.47	54
42.35	100
48.85	11
60.77	58
61.45	28
73.45	15
76.86	26

=====

5.
The following is a calculated X-ray diffraction stick pattern of Li3V7O12. It was derived from a structure optimized by DFT (GGA+U), using Cu Kα (weighted mean of Kα1 and Kα2).

```
22
Lattice="2.6022 -4.5326 0.0000 2.6022 4.5326 0.0000 -1.9132 0.0000 9.7239" Properties=species:S:1:pos:R:3 pbc="T T T"
Li 0.0000 0.0000 0.0000
Li -0.2090 0.0357 7.4156
Li 3.5001 0.0357 2.3083
V 0.7964 1.4621 2.3099
V 1.6455 3.0416 4.8619
V 2.6022 1.6580 0.0000
V 1.6455 -0.0394 4.8619
V 2.4947 1.4621 7.4140
V 2.6022 -1.3949 0.0000
V 1.6455 -3.0021 4.8619
O 1.6158 2.9795 1.1342
O -0.0993 0.0839 3.7544
O 0.8518 1.4619 5.9561
O 1.6753 2.9795 8.5897
O 1.8121 0.2124 1.1462
O 2.4393 1.4619 3.7678
O 0.6911 -1.5518 5.9675
O 1.4790 0.2124 8.5777
O 1.8376 -2.9401 1.1835
O 2.6000 -1.5518 3.7564
O 3.3904 0.0839 5.9695
O 1.4535 -2.9400 8.5404
```

The 12 most intense peaks (10° ≤ 2θ ≤ 80°), in order of rising 2θ:
2θ/deg	I_rel
18.25	48
19.59	22
20.51	21
23.34	31
26.89	13
36.64	15
42.37	100
43.08	48
61.36	13
61.63	40
62.37	25
77.90	12

=====

6.
The following is a calculated X-ray diffraction stick pattern of Li3V6O13. It was derived from a structure optimized by DFT (GGA+U), using Cu Kα (weighted mean of Kα1 and Kα2).

```
44
Lattice="6.3100 0.0000 0.0000 -2.5383 7.5923 0.0000 -1.8030 -0.6032 10.2000" Properties=species:S:1:pos:R:3 pbc="T T T"
Li -0.6301 1.8989 0.3172
Li -1.8655 5.7083 4.1801
Li -0.5969 1.9094 4.2090
Li 2.5656 5.0798 5.9910
Li 3.8342 1.2808 6.0200
Li 2.5987 5.0903 9.8829
V -0.0347 -0.0129 6.4826
V -1.3036 3.7859 6.4767
V 0.0010 -0.0079 10.1904
V -1.2710 3.7959 10.1743
V 1.8376 0.6146 3.7005
V 0.5691 4.4108 3.6973
V 1.3996 2.5783 6.5028
V 0.1311 6.3745 6.4996
V 3.2397 3.1932 0.0257
V 1.9677 6.9970 0.0096
V 3.2723 3.2032 3.7233
V 2.0034 7.0020 3.7174
O 0.0000 0.0000 0.0000
O -1.2692 3.7961 0.0000
O 0.0319 0.0127 4.2441
O -1.2348 3.8053 4.2457
O -0.4754 1.9516 6.2087
O -1.7476 5.7456 6.2005
O -1.3592 3.7723 8.1799
O -0.0733 -0.0354 8.1803
O -1.7196 5.7619 10.1823
O 1.3737 2.5601 0.0234
O 1.7235 0.5827 2.0269
O 0.4620 4.3632 2.0120
O 0.1064 6.3652 4.1114
O 1.3764 2.5720 4.1126
O 0.5923 4.4171 6.0875
O 1.8622 0.6239 6.0887
O 1.5067 2.6260 8.1880
O 0.2452 6.4065 8.1731
O 0.5950 4.4290 10.1766
O 3.6883 1.2273 0.0177
O 2.0420 7.0245 2.0198
O 3.3279 3.2169 2.0201
O 3.7163 1.2436 3.9995
O 2.4440 5.0375 3.9913
O 3.2035 3.1839 5.9543
O 1.9367 6.9764 5.9559
```

The 12 most intense peaks (10° ≤ 2θ ≤ 80°), in order of rising 2θ:
2θ/deg	I_rel
15.06	60
17.39	41
23.48	100
26.21	94
30.03	26
31.98	67
44.41	37
45.31	60
45.47	53
53.07	34
65.32	18
66.14	28

=====

7.
The following is a calculated X-ray diffraction stick pattern of LiV3O4. It was derived from a structure optimized by DFT (GGA+U), using Cu Kα (weighted mean of Kα1 and Kα2).

```
16
Lattice="3.0382 -4.3237 0.0000 3.0382 4.3237 0.0000 0.0000 0.0000 6.0848" Properties=species:S:1:pos:R:3 pbc="T T T"
Li 3.0382 2.1618 4.5636
Li 3.0382 -2.1618 1.5212
V 1.5191 0.0000 0.0084
V 1.5191 0.0000 3.0508
V 3.0382 2.1618 1.5212
V 3.0382 -2.1618 4.5636
V 4.5573 0.0000 3.0341
V 4.5573 0.0000 6.0765
O 1.5191 2.1618 0.0000
O 1.5191 2.1618 3.0424
O 3.0382 4.2131 1.5212
O 3.0382 0.1105 1.5212
O 1.5191 -2.1618 0.0000
O 1.5191 -2.1618 3.0424
O 3.0382 -0.1105 4.5636
O 3.0382 -4.2131 4.5636
```

The 12 most intense peaks (10° ≤ 2θ ≤ 80°), in order of rising 2θ:
2θ/deg	I_rel
20.54	15
23.10	51
29.38	12
36.12	53
37.57	8
41.78	50
42.03	100
48.50	12
60.76	55
60.95	28
72.94	15
76.63	25

=====

8.
The following is a calculated X-ray diffraction stick pattern of LiV3O4. It was derived from a structure optimized by DFT (GGA+U), using Cu Kα (weighted mean of Kα1 and Kα2).

```
16
Lattice="5.2794 0.0000 0.0000 0.0000 6.0960 0.0000 -1.8278 0.0000 4.9557" Properties=species:S:1:pos:R:3 pbc="T T T"
Li 0.0000 0.0000 0.0000
Li 1.7258 3.0480 2.4779
V -0.9139 1.5054 2.4779
V 0.0000 3.0480 0.0000
V -0.9139 4.5907 2.4779
V 1.7258 0.0000 2.4779
V 2.6397 1.4988 0.0000
V 2.6397 4.5972 0.0000
O -0.1311 3.0480 3.7880
O 0.8510 1.5745 1.2115
O 0.8510 4.5216 1.2115
O -0.0475 0.0000 3.7274
O 3.4991 0.0000 1.2284
O 2.6006 1.5745 3.7442
O 2.6006 4.5216 3.7442
O 3.5827 3.0480 1.1677
```

The 12 most intense peaks (10° ≤ 2θ ≤ 80°), in order of rising 2θ:
2θ/deg	I_rel
20.50	15
23.13	48
36.03	27
36.26	26
37.54	10
41.70	51
42.12	100
60.77	70
61.41	14
72.87	7
76.41	13
76.98	13